This entry pairs a crystal structure of SN with its simulated powder diffraction line list. Radiation: λ = 1.5418 Å (Cu Kα). Structure: a PBE-relaxed structure.

Main lines, low angle first (10° ≤ 2θ ≤ 90°):
d = 6.709 Å, intensity 20, hkl 1 0 0; d = 6.429 Å, intensity 21, hkl 1 0 -2; d = 5.060 Å, intensity 100, hkl 1 1 0; d = 4.937 Å, intensity 83, hkl 1 1 -2; d = 4.698 Å, intensity 37, hkl 0 0 2; d = 3.341 Å, intensity 19, hkl 1 2 0; d = 3.003 Å, intensity 19, hkl 1 0 2; d = 2.950 Å, intensity 39, hkl 2 2 -2

Atomic structure:
Unit cell a=9.1838 b=7.7069 c=12.8611 alpha=90.00 beta=133.07 gamma=90.00
Fractional coordinates of all 32 atoms:
S1 0.0492 0.2157 0.1433
S2 0.0492 0.2843 0.6433
S3 0.2070 0.7121 0.1415
S4 0.2070 0.7879 0.6415
S5 0.2849 0.5873 0.9885
S6 0.2849 0.9127 0.4885
S7 0.3112 0.5637 0.5367
S8 0.3112 0.9363 0.0367
S9 0.6888 0.0637 0.9633
S10 0.6888 0.4363 0.4633
S11 0.7151 0.0873 0.5115
S12 0.7151 0.4127 0.0115
S13 0.7930 0.2121 0.3585
S14 0.7930 0.2879 0.8585
S15 0.9508 0.7157 0.3567
S16 0.9508 0.7843 0.8567
N1 0.0234 0.2416 0.5072
N2 0.0234 0.2584 0.0072
N3 0.0517 0.6213 0.8449
N4 0.0517 0.8787 0.3449
N5 0.3254 0.6115 0.6671
N6 0.3254 0.8885 0.1671
N7 0.4001 0.7317 0.5188
N8 0.4001 0.7683 0.0188
N9 0.5999 0.2317 0.9812
N10 0.5999 0.2683 0.4812
N11 0.6746 0.1115 0.8329
N12 0.6746 0.3885 0.3329
N13 0.9483 0.1213 0.6551
N14 0.9483 0.3787 0.1551
N15 0.9766 0.7416 0.9928
N16 0.9766 0.7584 0.4928